No. 1
For Pm5HgSe4, a structure optimized by DFT (PBE) gives the simulated powder diffraction line list in this record (Cu Kα (λ = 1.5418 Å)).
Lines closer than 0.1° are merged.

Crystal structure
```
data_Pm5HgSe4
_symmetry_space_group_name_H-M 'P 1'
_symmetry_Int_Tables_number 1
_symmetry_space_group_name_Hall 'P 1'
_cell_length_a 7.3491
_cell_length_b 7.3491
_cell_length_c 7.3491
_cell_angle_alpha 99.61
_cell_angle_beta 99.61
_cell_angle_gamma 131.78
loop_
_atom_site_label
_atom_site_type_symbol
_atom_site_fract_x
_atom_site_fract_y
_atom_site_fract_z
Pm1 Pm 0.0000 0.0000 0.0000
Pm2 Pm 0.1940 0.3982 0.5922
Pm3 Pm 0.3982 0.8060 0.2043
Pm4 Pm 0.6018 0.1940 0.7957
Pm5 Pm 0.8060 0.6018 0.4078
Hg1 Hg 0.5000 0.5000 0.0000
Se1 Se 0.1011 0.6993 0.8004
Se2 Se 0.3007 0.1011 0.4017
Se3 Se 0.6993 0.8989 0.5983
Se4 Se 0.8989 0.3007 0.1996
```

Top 8 peaks for 10 to 90 degrees two-theta, in order of rising 2θ:
2θ (°), I_rel
17.48, 3
25.71, 8
29.77, 100
42.61, 75
52.85, 26
61.84, 12
70.13, 34
78.00, 25

=====

No. 2
For YCuPt, a structure optimized by DFT (PBE) gives the simulated powder diffraction line list in this record (Cu Kα (λ = 1.5418 Å)).
Lines closer than 0.1° are merged.

Crystal structure
```
data_YCuPt
_symmetry_space_group_name_H-M 'P 1'
_symmetry_Int_Tables_number 1
_symmetry_space_group_name_Hall 'P 1'
_cell_length_a 5.3434
_cell_length_b 5.3434
_cell_length_c 5.4756
_cell_angle_alpha 90.00
_cell_angle_beta 90.00
_cell_angle_gamma 133.06
loop_
_atom_site_label
_atom_site_type_symbol
_atom_site_fract_x
_atom_site_fract_y
_atom_site_fract_z
Y1 Y 0.2047 0.7953 0.7500
Y2 Y 0.7953 0.2047 0.2500
Cu1 Cu 0.5000 0.5000 0.0000
Cu2 Cu 0.5000 0.5000 0.5000
Pt1 Pt 0.0950 0.9050 0.2500
Pt2 Pt 0.9050 0.0950 0.7500
```

Top 8 peaks for 10 to 90 degrees two-theta, in order of rising 2θ:
2θ (°), I_rel
22.78, 32
24.37, 35
32.71, 23
34.61, 28
38.43, 80
40.25, 100
42.48, 30
62.21, 20

=====

No. 3
For LiTbSnPb, a structure optimized by DFT (PBE) gives the simulated powder diffraction line list in this record (Cu Kα (λ = 1.5418 Å)).
Lines closer than 0.1° are merged.

Crystal structure
```
data_LiTbSnPb
_symmetry_space_group_name_H-M 'P 1'
_symmetry_Int_Tables_number 1
_symmetry_space_group_name_Hall 'P 1'
_cell_length_a 4.4416
_cell_length_b 4.6698
_cell_length_c 4.7899
_cell_angle_alpha 90.00
_cell_angle_beta 90.00
_cell_angle_gamma 90.00
loop_
_atom_site_label
_atom_site_type_symbol
_atom_site_fract_x
_atom_site_fract_y
_atom_site_fract_z
Li1 Li 0.0000 0.0000 0.0000
Tb1 Tb 0.0000 0.5000 0.5000
Sn1 Sn 0.5000 0.0000 0.5000
Pb1 Pb 0.5000 0.5000 0.0000
```

Top 8 peaks for 10 to 90 degrees two-theta, in order of rising 2θ:
2θ (°), I_rel
19.00, 23
27.38, 19
33.55, 100
37.55, 19
38.56, 17
40.62, 15
65.23, 15
66.59, 14